Theoretical X-ray powder pattern
Compound: BaNp2Co2S6
Radiation: Cu Ka
Structure: a crystal structure in Alexandria, relaxed with PBE

Atomic structure:
Cell: 5.368 6.839 7.326 Å, 107.05 107.42 101.52°
Atoms (fractional coordinates):
Ba  0.000  0.000  0.000
Np  0.398  0.284  0.689
Np  0.602  0.716  0.311
Co  0.197  0.686  0.609
Co  0.803  0.314  0.391
S  0.168  0.860  0.388
S  0.211  0.405  0.380
S  0.412  0.700  0.925
S  0.588  0.300  0.075
S  0.789  0.595  0.620
S  0.832  0.140  0.612

Largest 12 diffraction maxima, in order of rising 2θ, 2θ = 10–80°:
- hkl 0 0 1, 13.7°, I 37
- hkl 1 -1 0, 19.3°, I 56
- hkl 0 1 1, 23.3°, I 87
- hkl 1 1 -1, 23.5°, I 100
- hkl 0 1 -2, 25.8°, I 51
- hkl 1 0 -2, 26.6°, I 68
- hkl 1 0 1, 26.8°, I 61
- hkl 0 2 0, 28.8°, I 58
- hkl -1 2 1, 33.7°, I 52
- hkl 2 0 -1, 34.1°, I 61
- hkl 1 2 0, 39.1°, I 32
- hkl 0 0 3, 41.9°, I 34

---

Theoretical X-ray powder pattern
Compound: BaNpCoSe4
Radiation: Cu Ka
Structure: a crystal structure in Alexandria, relaxed with PBE

Atomic structure:
Cell: 6.994 6.028 8.909 Å, 90.00 106.27 90.00°
Atoms (fractional coordinates):
Ba  0.243  0.250  0.439
Ba  0.757  0.750  0.561
Np  0.239  0.250  0.947
Np  0.761  0.750  0.053
Co  0.260  0.750  0.168
Co  0.740  0.250  0.832
Se  0.062  0.750  0.345
Se  0.077  0.750  0.908
Se  0.483  0.508  0.780
Se  0.483  0.992  0.780
Se  0.517  0.008  0.220
Se  0.517  0.492  0.220
Se  0.923  0.250  0.092
Se  0.938  0.250  0.655

Largest 12 diffraction maxima, in order of rising 2θ, 2θ = 10–80°:
- hkl 0 0 1, 10.3°, I 95
- hkl 1 1 0, 19.8°, I 75
- hkl 1 0 2, 27.7°, I 56
- hkl 2 0 -2, 28.8°, I 81
- hkl 0 2 0, 29.6°, I 52
- hkl 1 1 2, 31.5°, I 84
- hkl 2 1 -2, 32.5°, I 100
- hkl 0 2 2, 36.5°, I 49
- hkl 1 2 -2, 36.8°, I 40
- hkl 2 2 0, 40.2°, I 57
- hkl 1 0 -4, 40.5°, I 51
- hkl 3 1 0, 43.1°, I 40